(1)
KLiSnSe2: theoretical powder diffractogram (Cu Kα, 1.54184 Å), based on a cell relaxed with GGA-PBE.
Intensities are scaled so that the largest is 100.

Cell and atoms:
a b c (Å): 8.208 8.208 9.258
angles (deg): 95.25 95.25 30.02
Positions (direct):
K 0.166 0.166 0.297
K 0.834 0.834 0.703
Li 0.199 0.199 0.926
Li 0.801 0.801 0.074
Sn 0.439 0.439 0.249
Sn 0.561 0.561 0.751
Se 0.157 0.157 0.651
Se 0.363 0.363 0.979
Se 0.637 0.637 0.021
Se 0.843 0.843 0.349

Largest 8 diffraction maxima, low angle first, 2θ = 10–80°:
d = 6.297 Å, rel. 45.0
d = 5.732 Å, rel. 51.4
d = 4.106 Å, rel. 37.7
d = 3.946 Å, rel. 41.8
d = 3.173 Å, rel. 100.0
d = 2.766 Å, rel. 46.6
d = 2.492 Å, rel. 45.1
d = 2.320 Å, rel. 66.2

(2)
Li4Y5Hg4: theoretical powder diffractogram (Cu Kα, 1.54184 Å), based on a cell relaxed with GGA-PBE.
Intensities are scaled so that the largest is 100.

Cell and atoms:
a b c (Å): 8.434 8.434 8.434
angles (deg): 94.67 94.67 146.83
Positions (direct):
Li 0.074 0.397 0.471
Li 0.397 0.926 0.322
Li 0.603 0.074 0.678
Li 0.926 0.603 0.529
Y 0.125 0.801 0.926
Y 0.199 0.125 0.323
Y 0.500 0.500 0.000
Y 0.801 0.875 0.677
Y 0.875 0.199 0.074
Hg 0.243 0.560 0.803
Hg 0.440 0.243 0.682
Hg 0.560 0.757 0.318
Hg 0.757 0.440 0.197

Largest 8 diffraction maxima, low angle first, 2θ = 10–80°:
d = 4.042 Å, rel. 32.8
d = 3.505 Å, rel. 69.8
d = 2.988 Å, rel. 46.7
d = 2.648 Å, rel. 40.7
d = 2.556 Å, rel. 27.7
d = 2.404 Å, rel. 100.0
d = 2.067 Å, rel. 27.6
d = 1.961 Å, rel. 26.2